# 1
This entry pairs a crystal structure of CsNaMg6O7 with its theoretical X-ray diffraction stick pattern. Radiation: a wavelength of 1.5418 Å. Structure: a cell relaxed with PBE.
Neutral-atom scattering factors, no anomalous dispersion.

Principal peaks in the range 2θ = 10–90°, in order of falling intensity:
2θ/deg, I_rel, (hkl)
37.9, 100.0, 2 0 0
28.8, 60.5, 1 0 2
10.8, 55.5, 0 0 1
21.7, 48.9, 1 0 1
34.6, 42.3, 1 1 2
54.7, 31.0, 2 2 0
44.1, 24.9, 2 0 2
38.1, 24.7, 1 0 3
18.7, 23.2, 1 0 0
48.3, 17.3, 2 1 2

Atomic structure:
Lattice parameters (Å, degrees): 4.7482 4.7482 8.1618 90.00 90.00 90.00
Space group P4mm (No. 99)
Unique sites:
Cs  0.0000  0.0000  0.0000
Na  0.0000  0.0000  0.5773
Mg  0.0000  0.5000  0.3369
Mg  0.0000  0.5000  0.8322
Mg  0.5000  0.5000  0.0971
Mg  0.5000  0.5000  0.5864
O  0.0000  0.0000  0.3188
O  0.0000  0.5000  0.0857
O  0.0000  0.5000  0.5981
O  0.5000  0.5000  0.3412
O  0.5000  0.5000  0.8422

# 2
This entry pairs a crystal structure of SrGa2CuSi with its theoretical X-ray diffraction stick pattern. Radiation: a wavelength of 1.5418 Å. Structure: a cell relaxed with PBE.
Neutral-atom scattering factors, no anomalous dispersion.

Principal peaks in the range 2θ = 10–90°, in order of falling intensity:
2θ/deg, I_rel, (hkl)
34.1, 100.0, 1 1 2
42.0, 25.7, 0 2 0
32.9, 25.5, 1 0 3
42.6, 24.6, 2 0 0
32.7, 19.3, 0 1 3
45.5, 18.4, 1 1 4
61.4, 16.1, 2 2 0
47.7, 12.4, 0 1 5
60.6, 12.3, 1 1 6
54.4, 11.8, 1 2 3

Atomic structure:
Lattice parameters (Å, degrees): 4.2429 4.3017 10.6285 90.00 90.00 90.00
Space group Imm2 (No. 44)
Unique sites:
Sr  0.0000  0.0000  0.0000
Ga  0.0000  0.0000  0.3813
Ga  0.0000  0.5000  0.2496
Cu  0.0000  0.5000  0.7396
Si  0.0000  0.0000  0.6180

# 3
This entry pairs a crystal structure of Rb2Cd3In with its theoretical X-ray diffraction stick pattern. Radiation: a wavelength of 1.5418 Å. Structure: a cell relaxed with PBE.
Neutral-atom scattering factors, no anomalous dispersion.

Principal peaks in the range 2θ = 10–90°, in order of falling intensity:
2θ/deg, I_rel, (hkl)
26.5, 100.0, 1 1 2
30.2, 75.8, 1 2 1
31.0, 58.9, 0 2 2
28.9, 43.2, 2 0 0
39.5, 39.1, 2 2 1
17.0, 38.1, 1 0 1
15.4, 32.3, 0 1 1
30.5, 30.6, 0 1 3
54.6, 28.8, 2 2 4
31.4, 26.5, 2 1 0

Atomic structure:
Lattice parameters (Å, degrees): 6.1844 7.2001 9.6323 90.00 90.00 90.00
Space group Pmma (No. 51)
Unique sites:
Rb  0.2500  0.0000  0.1167
Rb  0.2500  0.5000  0.3508
Cd  0.0000  0.0000  0.5000
Cd  0.2500  0.2144  0.7166
In  0.2500  0.5000  0.9356

# 4
This entry pairs a crystal structure of Tl2CrGeSe4 with its theoretical X-ray diffraction stick pattern. Radiation: a wavelength of 1.5418 Å. Structure: a cell relaxed with PBE.
Neutral-atom scattering factors, no anomalous dispersion.

Principal peaks in the range 2θ = 10–90°, in order of falling intensity:
2θ/deg, I_rel, (hkl)
27.0, 100.0, 1 3 3
49.2, 43.4, 2 6 0
31.6, 43.3, 1 3 5
35.8, 31.3, 2 0 6
28.0, 25.5, 0 2 6
29.2, 23.7, 2 2 0
18.9, 20.1, 1 1 3
46.2, 16.2, 3 3 3
60.3, 15.8, 2 6 8
32.7, 15.7, 0 0 8

Atomic structure:
Lattice parameters (Å, degrees): 6.9116 13.1646 21.8962 90.00 90.00 90.00
Space group Fddd (No. 70, origin choice 2)
Unique sites:
Tl  0.1250  0.1250  0.3067
Cr  0.1250  0.1250  0.1250
Ge  0.1250  0.1250  0.6250
Se  0.1030  0.2804  0.4308

# 5
This entry pairs a crystal structure of NaHo3S4 with its theoretical X-ray diffraction stick pattern. Radiation: a wavelength of 1.5418 Å. Structure: a cell relaxed with PBE.
Neutral-atom scattering factors, no anomalous dispersion.

Principal peaks in the range 2θ = 10–90°, in order of falling intensity:
2θ/deg, I_rel, (hkl)
32.5, 100.0, 2 0 0
46.6, 71.5, 2 2 0
28.0, 65.7, 1 1 1
55.3, 32.4, 3 1 1
77.5, 31.6, 4 2 0
16.1, 24.8, 1 0 0
58.0, 24.6, 2 2 2
86.5, 24.4, 4 2 2
22.8, 22.1, 1 1 0
36.5, 13.4, 2 1 0

Atomic structure:
Lattice parameters (Å, degrees): 5.5108 5.5108 5.5108 90.00 90.00 90.00
Space group Pm-3m (No. 221)
Unique sites:
Na  0.0000  0.0000  0.0000
Ho  0.0000  0.5000  0.5000
S  0.0000  0.0000  0.5000
S  0.5000  0.5000  0.5000

# 6
This entry pairs a crystal structure of LiAc2SbPt6 with its theoretical X-ray diffraction stick pattern. Radiation: a wavelength of 1.5418 Å. Structure: a cell relaxed with PBE.
Neutral-atom scattering factors, no anomalous dispersion.

Principal peaks in the range 2θ = 10–90°, in order of falling intensity:
2θ/deg, I_rel, (hkl)
37.8, 100.0, 2 2 0
39.8, 73.9, 4 0 0
27.6, 65.0, 1 1 -2
38.2, 60.9, 2 2 -2
28.5, 40.3, 4 0 -2
28.2, 40.3, 0 0 2
40.3, 30.2, 5 1 -3
40.0, 22.9, 1 1 -3
14.0, 22.2, 0 0 1
56.5, 19.4, 6 2 -2

Atomic structure:
Lattice parameters (Å, degrees): 12.5416 5.5898 8.7573 90.00 133.79 90.00
Space group C2/m (No. 12)
Unique sites:
Li  0.0000  0.0000  0.0000
Ac  0.2362  0.5000  0.1962
Sb  0.0000  0.5000  0.5000
Pt  0.0034  0.2401  0.2533
Pt  0.2431  0.0000  0.3948

# 7
This entry pairs a crystal structure of LiMgSi with its theoretical X-ray diffraction stick pattern. Radiation: a wavelength of 1.5418 Å. Structure: a cell relaxed with PBE.
Neutral-atom scattering factors, no anomalous dispersion.

Principal peaks in the range 2θ = 10–90°, in order of falling intensity:
2θ/deg, I_rel, (hkl)
42.4, 100.0, 1 1 2
36.7, 88.5, 1 1 1
41.8, 81.9, 0 1 3
30.0, 63.8, 1 0 1
41.9, 52.1, 0 2 0
23.8, 51.9, 0 1 1
20.6, 42.5, 0 1 0
34.6, 42.2, 1 1 0
72.9, 30.8, 2 1 3
56.8, 29.2, 2 0 0

Atomic structure:
Lattice parameters (Å, degrees): 3.2422 4.3083 7.5001 90.00 90.00 90.00
Space group Pmm2 (No. 25)
Unique sites:
Li  0.0000  0.0000  0.0000
Li  0.5000  0.0000  0.3235
Mg  0.0000  0.5000  0.4030
Mg  0.5000  0.5000  0.7653
Si  0.0000  0.0000  0.6278
Si  0.5000  0.5000  0.1172

# 8
This entry pairs a crystal structure of Cr4Cd5 with its theoretical X-ray diffraction stick pattern. Radiation: a wavelength of 1.5418 Å. Structure: a cell relaxed with PBE.
Neutral-atom scattering factors, no anomalous dispersion.

Principal peaks in the range 2θ = 10–90°, in order of falling intensity:
2θ/deg, I_rel, (hkl)
37.1, 100.0, 3 0 1
43.6, 30.7, 3 3 0
75.8, 21.0, 6 3 1
62.3, 19.9, 3 3 2
42.1, 17.5, 0 0 2
73.7, 11.9, 3 0 3
30.8, 9.7, 2 1 1
79.1, 9.5, 6 0 2
63.4, 9.2, 6 0 0
14.2, 7.2, 1 1 0

Atomic structure:
Lattice parameters (Å, degrees): 8.8007 8.8007 4.2908 90.00 90.00 90.00
Space group I4/mmm (No. 139)
Unique sites:
Cr  0.0000  0.3460  0.0000
Cd  0.0000  0.0000  0.0000
Cd  0.1710  0.1710  0.5000